For Dy10In3Te3, a structure optimized by DFT (GGA-PBE) gives the theoretical powder X-ray diffraction pattern in this record (Cu Ka).

Structure:
```
data_Dy10In3Te3
_chemical_formula_sum 'Dy10 In3 Te3'
_symmetry_space_group_name_H-M 'P -6 2 m'
_symmetry_Int_Tables_number 189
_symmetry_space_group_name_Hall 'P -6 -2'
_cell_length_a 9.0076
_cell_length_b 9.0076
_cell_length_c 6.4118
_cell_angle_alpha 90.00
_cell_angle_beta 90.00
_cell_angle_gamma 120.00
loop_
_atom_site_label
_atom_site_fract_x
_atom_site_fract_y
_atom_site_fract_z
Dy1 0.0000 0.2378 0.0000
Dy2 0.0000 0.7580 0.5000
Dy3 0.3333 0.6667 0.2489
In1 0.0000 0.6071 0.0000
Te1 0.0000 0.3887 0.5000
```

The 6 most intense peaks (15 to 90 degrees two-theta), low angle first:
h k l	2theta	I_rel
2 1 0	30.31	34.1
2 1 1	33.45	100.0
1 1 2	34.34	76.5
3 0 0	34.49	41.8
2 2 2	49.46	21.2
2 1 3	52.91	27.2